Computed powder X-ray diffraction pattern of ErSi2 for a wavelength of 1.5418 Å, from a DFT-relaxed cell (GGA-PBE, the Materials Project).
No peak broadening, texture or thermal motion is included.

Crystal structure
```
data_ErSi2
_symmetry_space_group_name_H-M 'I 41/a m d'
_symmetry_Int_Tables_number 141
_cell_length_a 3.9358
_cell_length_b 3.9358
_cell_length_c 14.7191
_cell_angle_alpha 90.00
_cell_angle_beta 90.00
_cell_angle_gamma 90.00
loop_
_symmetry_equiv_pos_as_xyz
'x,y,z'
'-x,-y,-z'
'-y+1/4,x+3/4,z+1/4'
'y+1/4,-x+3/4,-z+1/4'
'-x+1/2,-y,z+1/2'
'x+1/2,y,-z+1/2'
'y+1/4,-x+1/4,z+3/4'
'-y+1/4,x+1/4,-z+3/4'
'x,-y,-z'
'-x,y,z'
'-y+1/4,-x+1/4,-z+3/4'
'y+1/4,x+1/4,z+3/4'
'-x+1/2,y,-z+1/2'
'x+1/2,-y,z+1/2'
'y+1/4,x+3/4,-z+1/4'
'-y+1/4,-x+3/4,z+1/4'
'x+1/2,y+1/2,z+1/2'
'-x+1/2,-y+1/2,-z+1/2'
'-y+3/4,x+1/4,z+3/4'
'y+3/4,-x+1/4,-z+3/4'
'-x,-y+1/2,z'
'x,y+1/2,-z'
'y+3/4,-x+3/4,z+1/4'
'-y+3/4,x+3/4,-z+1/4'
'x+1/2,-y+1/2,-z+1/2'
'-x+1/2,y+1/2,z+1/2'
'-y+3/4,-x+3/4,-z+1/4'
'y+3/4,x+3/4,z+1/4'
'-x,y+1/2,-z'
'x,-y+1/2,z'
'y+3/4,x+1/4,-z+3/4'
'-y+3/4,-x+1/4,z+3/4'
loop_
_atom_site_label
_atom_site_type_symbol
_atom_site_fract_x
_atom_site_fract_y
_atom_site_fract_z
_atom_site_occupancy
Er1 Er 0.0000 0.2500 0.3750 1
Si1 Si 0.0000 0.2500 0.7930 1
```

Principal peaks in the range 5 to 70 degrees two-theta, low angle first:
2theta	I_rel	index
23.40	447	1 0 1
24.19	305	0 0 4
29.09	551	1 0 3
34.45	1000	1 1 2
38.18	454	1 0 5
46.13	286	2 0 0
49.12	225	1 0 7
49.53	158	0 0 8
52.75	153	2 0 4
55.46	183	2 1 3
61.37	297	2 1 5
69.66	159	2 1 7